Starting from a structure optimized by DFT (GGA-PBE), the powder X-ray diffraction pattern of Ba3Ga2Ge4O14 was calculated for Cu Kα (weighted mean of Kα1 and Kα2).
Lines closer than 0.1° are merged.

Atomic structure:
```
data_Ba3Ga2Ge4O14
_chemical_formula_sum 'Ba3 Ga2 Ge4 O14'
_cell_length_a 8.7098
_cell_length_b 8.7098
_cell_length_c 5.0944
_cell_angle_alpha 90.00
_cell_angle_beta 90.00
_cell_angle_gamma 120.00
_symmetry_space_group_name_H-M 'P 3 2 1'
_symmetry_Int_Tables_number 150
_symmetry_space_group_name_Hall 'P 3 2"'
loop_
_atom_site_label
_atom_site_fract_x
_atom_site_fract_y
_atom_site_fract_z
Ba1 0.0000 0.5730 0.0000
Ga1 0.3333 0.6667 0.4999
Ge1 0.0000 0.0000 0.0000
Ge2 0.0000 0.2446 0.5000
O1 0.0972 0.8919 0.2309
O2 0.1632 0.4476 0.6511
O3 0.3333 0.6667 0.1512
```

The 10 most intense peaks (2θ from 5° to 70°), by angle:
| 2theta | I/Imax | h k l |
| --- | --- | --- |
| 26.9 | 797 | 1 1 1 |
| 29.5 | 1000 | 2 0 1 |
| 31.4 | 361 | 2 1 0 |
| 35.2 | 192 | 0 0 2 |
| 43.2 | 194 | 3 1 0 |
| 47.0 | 209 | 3 1 1 |
| 47.9 | 258 | 1 2 2 |
| 51.0 | 130 | 3 0 2 |
| 56.1 | 206 | 2 3 1 |
| 59.7 | 133 | 2 0 3 |


Starting from a structure optimized by DFT (GGA-PBE), the powder X-ray diffraction pattern of NaCaSiO4 was calculated for Cu Kα (weighted mean of Kα1 and Kα2).
Lines closer than 0.1° are merged.

Atomic structure:
```
data_NaCaSiO4
_chemical_formula_sum 'Na2 Ca2 Si2 O8'
_cell_length_a 5.408
_cell_length_b 7.158
_cell_length_c 5.449
_cell_angle_alpha 90.00
_cell_angle_beta 116.72
_cell_angle_gamma 90.00
_symmetry_space_group_name_H-M 'P 1 21/m 1'
_symmetry_Int_Tables_number 11
_symmetry_space_group_name_Hall '-P 2yb'
loop_
_atom_site_label
_atom_site_fract_x
_atom_site_fract_y
_atom_site_fract_z
Na1 0.219 0.250 0.341
Ca1 0.500 0.000 0.000
Si1 0.123 0.750 0.332
O1 0.211 0.250 0.767
O2 0.212 0.560 0.216
O3 0.304 0.750 0.667
```

The 10 most intense peaks (2θ from 5° to 70°), by angle:
| 2theta | I/Imax | h k l |
| --- | --- | --- |
| 22.9 | 214 | 1 1 -1 |
| 31.0 | 1000 | 0 2 1 |
| 31.4 | 376 | 1 0 1 |
| 32.9 | 251 | 1 0 -2 |
| 33.2 | 418 | 2 0 -1 |
| 45.0 | 154 | 0 2 2 |
| 45.3 | 153 | 2 2 0 |
| 46.8 | 179 | 2 2 -2 |
| 51.0 | 243 | 0 4 0 |
| 57.2 | 203 | 1 2 -3 |


Starting from a structure optimized by DFT (GGA-PBE), the powder X-ray diffraction pattern of Sm2Se2O was calculated for Cu Kα (weighted mean of Kα1 and Kα2).
Lines closer than 0.1° are merged.

Atomic structure:
```
data_Sm2Se2O
_chemical_formula_sum 'Sm8 Se8 O4'
_cell_length_a 16.457
_cell_length_b 4.023
_cell_length_c 7.175
_cell_angle_alpha 90.00
_cell_angle_beta 90.00
_cell_angle_gamma 90.00
_symmetry_space_group_name_H-M 'P n m a'
_symmetry_Int_Tables_number 62
_symmetry_space_group_name_Hall '-P 2ac 2n'
loop_
_atom_site_label
_atom_site_fract_x
_atom_site_fract_y
_atom_site_fract_z
Sm1 0.038 0.250 0.198
Sm2 0.161 0.250 0.759
Se1 0.100 0.750 0.510
Se2 0.179 0.750 0.052
O1 0.031 0.250 0.872
```

The 10 most intense peaks (2θ from 5° to 70°), by angle:
| 2theta | I/Imax | h k l |
| --- | --- | --- |
| 24.9 | 489 | 4 0 1 |
| 27.6 | 756 | 2 1 1 |
| 29.9 | 223 | 5 0 1 |
| 30.2 | 273 | 3 1 1 |
| 33.6 | 314 | 4 1 1 |
| 35.2 | 1000 | 2 1 2 |
| 37.4 | 201 | 3 1 2 |
| 43.8 | 197 | 4 0 3 |
| 45.1 | 287 | 0 2 0 |
| 49.8 | 227 | 8 1 0 |